[1]
The following is a simulated X-ray powder pattern of MnNiP2O8. It was derived from a DFT-relaxed cell (PBE+U, Alexandria), using Cu Ka.

Top 10 peaks for 2θ = 10–90°, in order of rising 2θ:
two_theta  I (rel.)  h k l
20.7  100  1 1 0
24.3  92  2 -1 3
32.1  15  3 -1 1
33.1  65  1 1 6
36.2  45  3 0 0
47.5  33  1 2 8
49.8  27  4 -2 6
56.7  27  4 1 0
56.8  15  4 -1 8
63.1  19  1 4 6

Structural model:
Lattice parameters (Å, degrees): 8.5967 8.5967 20.9164 90.00 90.00 120.00
Space group R3 (No. 146, hexagonal axes)
Unique sites:
Mn: 0.0000 0.0000 0.0000 x3
Mn: 0.0000 0.0000 0.1445 x3
Mn: 0.0000 0.0000 0.6434 x3
Ni: 0.0000 0.0000 0.2842 x3
Ni: 0.0000 0.0000 0.4995 x3
Ni: 0.0000 0.0000 0.7858 x3
P: 0.0010 0.7049 0.3897 x9
P: 0.0440 0.3729 0.5612 x9
O: 0.0033 0.8280 0.7168 x9
O: 0.0058 0.8014 0.3288 x9
O: 0.0091 0.1784 0.5708 x9
O: 0.0090 0.8017 0.4516 x9
O: 0.0274 0.8448 0.0643 x9
O: 0.1416 0.4741 0.6225 x9
O: 0.1520 0.4543 0.5002 x9
O: 0.1718 0.4718 0.8844 x9

***

[2]
The following is a simulated X-ray powder pattern of MnNiP2O8. It was derived from a DFT-relaxed cell (PBE+U, Alexandria), using Cu Ka.

Top 10 peaks for 2θ = 10–90°, in order of rising 2θ:
two_theta  I (rel.)  h k l
18.0  93  0 0 2
20.6  59  1 0 -1
20.8  40  1 0 1
23.8  29  0 1 2
25.8  81  1 1 -1
25.9  64  1 1 1
31.1  100  0 2 0
36.6  69  1 1 -3
36.9  72  1 1 3
37.6  39  1 2 -1

Structural model:
Lattice parameters (Å, degrees): 4.7705 5.7575 9.8435 90.00 90.51 90.00
Space group P2_1/m (No. 11)
Unique sites:
Mn: 0.0475 0.2500 0.2772 x2
Ni: 0.4463 0.2500 0.7675 x2
P: 0.0956 0.7500 0.4133 x2
P: 0.3910 0.7500 0.9048 x2
O: 0.1836 0.7500 0.5655 x2
O: 0.2187 0.2500 0.6009 x2
O: 0.2288 0.5462 0.8288 x4
O: 0.2443 0.5393 0.3385 x4
O: 0.2927 0.2500 0.1246 x2
O: 0.3456 0.7500 0.0560 x2

***

[3]
The following is a simulated X-ray powder pattern of MnNiP2O8. It was derived from a DFT-relaxed cell (PBE+U, Alexandria), using Cu Ka.

Top 10 peaks for 2θ = 10–90°, in order of rising 2θ:
two_theta  I (rel.)  h k l
20.9  100  1 1 0
24.7  96  2 -1 3
25.7  22  2 0 2
33.7  69  1 1 6
36.6  41  3 0 0
48.3  38  1 2 8
50.6  26  2 2 6
57.3  26  1 4 0
57.7  20  3 1 8
64.0  20  4 1 6

Structural model:
Lattice parameters (Å, degrees): 8.5075 8.5075 20.4819 90.00 90.00 120.00
Space group R3 (No. 146, hexagonal axes)
Unique sites:
Mn: 0.0000 0.0000 0.0000 x3
Mn: 0.0000 0.0000 0.2164 x3
Mn: 0.0000 0.0000 0.7167 x3
Ni: 0.0000 0.0000 0.3597 x3
Ni: 0.0000 0.0000 0.4977 x3
Ni: 0.0000 0.0000 0.8594 x3
P: 0.0426 0.3741 0.2740 x9
P: 0.0443 0.6682 0.7734 x9
O: 0.0053 0.2052 0.5449 x9
O: 0.0052 0.8081 0.1707 x9
O: 0.0189 0.1787 0.2826 x9
O: 0.0278 0.8446 0.7829 x9
O: 0.1435 0.4687 0.3374 x9
O: 0.1586 0.6923 0.7128 x9
O: 0.1639 0.6874 0.0958 x9
O: 0.1669 0.4907 0.6032 x9

***

[4]
The following is a simulated X-ray powder pattern of MnNi3P4O16. It was derived from a DFT-relaxed cell (PBE+U, Alexandria), using Cu Ka.

Top 10 peaks for 2θ = 10–90°, in order of rising 2θ:
two_theta  I (rel.)  h k l
18.0  67  0 0 2
20.6  67  1 0 1
25.8  99  1 1 1
25.9  19  1 0 -2
30.3  35  1 1 -2
31.0  71  0 2 0
36.6  100  1 1 -3
37.5  27  1 2 1
53.0  23  2 2 -2
58.9  23  1 3 -3

Structural model:
Lattice parameters (Å, degrees): 4.7939 5.7623 9.8718 90.00 90.01 90.00
Space group Pm (No. 6)
Unique sites:
Mn: 0.0000 0.0000 0.0000 x1
Ni: 0.3881 0.0000 0.5052 x1
Ni: 0.5046 0.5000 0.0472 x1
Ni: 0.8882 0.5000 0.5502 x1
P: 0.0468 0.5000 0.8647 x1
P: 0.3324 0.5000 0.3688 x1
P: 0.5602 0.0000 0.1825 x1
P: 0.8342 0.0000 0.6858 x1
O: 0.1241 0.5000 0.7147 x1
O: 0.1499 0.0000 0.6686 x1
O: 0.1817 0.2911 0.4402 x2
O: 0.1955 0.2895 0.9401 x2
O: 0.2442 0.0000 0.1542 x1
O: 0.2792 0.5000 0.2157 x1
O: 0.6111 0.0000 0.3335 x1
O: 0.6487 0.5000 0.3896 x1
O: 0.6836 0.2083 0.6146 x2
O: 0.7174 0.2051 0.1075 x2
O: 0.7329 0.5000 0.8834 x1
O: 0.7692 0.0000 0.8407 x1

***

[5]
The following is a simulated X-ray powder pattern of Mn3VNi2P6O24. It was derived from a DFT-relaxed cell (PBE+U, Alexandria), using Cu Ka.

Top 10 peaks for 2θ = 10–90°, in order of rising 2θ:
two_theta  I (rel.)  h k l
20.7  88  1 1 0
24.5  100  1 1 3
25.5  21  2 0 2
33.4  69  2 -1 6
36.2  40  3 0 0
47.9  35  3 -2 8
50.1  26  4 -2 6
56.7  24  4 1 0
57.2  17  4 -1 8
63.4  20  5 -1 6

Structural model:
Lattice parameters (Å, degrees): 8.5882 8.5882 20.5807 90.00 90.00 120.00
Space group R3 (No. 146, hexagonal axes)
Unique sites:
Mn: 0.0000 0.0000 0.0000 x3
Mn: 0.0000 0.0000 0.2155 x3
Mn: 0.0000 0.0000 0.5002 x3
V: 0.0000 0.0000 0.7151 x3
Ni: 0.0000 0.0000 0.3583 x3
Ni: 0.0000 0.0000 0.8573 x3
P: 0.0009 0.2937 0.1075 x9
P: 0.0007 0.7061 0.6075 x9
O: 0.0016 0.2009 0.1702 x9
O: 0.0111 0.8149 0.6687 x9
O: 0.0156 0.1795 0.7801 x9
O: 0.0208 0.8357 0.2850 x9
O: 0.1348 0.6693 0.2117 x9
O: 0.1377 0.4696 0.7119 x9
O: 0.1679 0.4857 0.0990 x9
O: 0.1701 0.6842 0.5997 x9

***

[6]
The following is a simulated X-ray powder pattern of MnZnNiP2O9. It was derived from a DFT-relaxed cell (PBE+U, Alexandria), using Cu Ka.

Top 10 peaks for 2θ = 10–90°, in order of rising 2θ:
two_theta  I (rel.)  h k l
13.2  39  1 0 1
19.0  62  2 1 0
24.3  100  1 0 2
27.7  59  4 0 1
28.9  40  0 2 0
30.4  36  2 1 2
31.9  47  1 2 1
33.7  31  5 0 1
37.5  43  0 2 2
40.5  36  4 2 1

Structural model:
Lattice parameters (Å, degrees): 14.1969 6.1768 7.5957 90.00 90.00 90.00
Space group Pnma (No. 62)
Unique sites:
Mn: 0.1108 0.2500 0.1640 x4
Zn: 0.1657 0.2500 0.6957 x4
Ni: 0.0000 0.0000 0.5000 x4
P: 0.0571 0.7500 0.1404 x4
P: 0.2073 0.7500 0.5887 x4
O: 0.0024 0.7500 0.9685 x4
O: 0.0129 0.2500 0.6976 x4
O: 0.0454 0.2500 0.3648 x4
O: 0.1248 0.5563 0.1543 x8
O: 0.1452 0.5437 0.5792 x8
O: 0.2113 0.2500 0.9463 x4
O: 0.2351 0.2500 0.2633 x4

***

[7]
The following is a simulated X-ray powder pattern of Mn2Ni6Te3PbO18. It was derived from a DFT-relaxed cell (PBE+U, Alexandria), using Cu Ka.

Top 10 peaks for 2θ = 10–90°, in order of rising 2θ:
two_theta  I (rel.)  h k l
21.3  16  1 1 1
21.8  18  2 0 0
22.7  16  1 0 2
27.5  52  1 1 2
33.0  100  3 0 0
35.7  57  1 1 3
43.5  14  2 2 2
49.4  30  2 2 3
58.9  18  3 3 0
60.7  28  4 1 3

Structural model:
Lattice parameters (Å, degrees): 9.4091 9.4091 8.9264 90.00 90.00 120.00
Space group P6_3/m (No. 176)
Unique sites:
Mn: 0.3333 0.6667 0.0600 x4
Ni: 0.0109 0.6510 0.0888 x12
Te: 0.0255 0.6635 0.7500 x6
Pb: 0.0000 0.0000 0.0000 x2
O: 0.1000 0.3047 0.0910 x12
O: 0.1058 0.2926 0.7500 x6
O: 0.1292 0.6067 0.5871 x12
O: 0.1330 0.5806 0.2500 x6

***

[8]
The following is a simulated X-ray powder pattern of MnNi2PtO8. It was derived from a DFT-relaxed cell (PBE+U, Alexandria), using Cu Ka.

Top 10 peaks for 2θ = 10–90°, in order of rising 2θ:
two_theta  I (rel.)  h k l
14.7  43  0 1 0
24.0  32  0 1 1
25.1  28  1 1 0
27.2  100  1 0 -1
28.4  87  1 0 1
35.4  62  0 2 1
36.2  79  1 2 0
53.0  30  1 2 -2
54.7  35  2 2 -1
56.1  46  2 2 1

Structural model:
Lattice parameters (Å, degrees): 4.3935 6.0226 4.7072 90.00 92.50 90.00
Space group P2/m (No. 10)
Unique sites:
Mn: 0.0000 0.0000 0.0000 x1
Ni: 0.5000 0.2469 0.5000 x2
Pt: 0.0000 0.5000 0.0000 x1
O: 0.2232 0.2437 0.8425 x4
O: 0.2632 0.0000 0.3341 x2
O: 0.2757 0.5000 0.3320 x2